1.
# Ba2Ir3Cl3
Calculated PXRD pattern, λ = 1.5418 Å (Cu Kα). Input: a cell relaxed with GGA-PBE.
Lines closer than 0.1° are merged.

Structure:
abc: 3.6791 3.6791 17.0245
angles: 90.00 90.00 90.00
Space group P-4m2 (No. 115)
One atom of each set of equivalent atoms:
1 Ba 0.0000 0.5000 0.1629 [2 per cell]
2 Ir 0.0000 0.0000 0.0000 [1 per cell]
3 Ir 0.5000 0.5000 0.0000 [1 per cell]
4 Ir 0.5000 0.5000 0.5000 [1 per cell]
5 Cl 0.0000 0.0000 0.2916 [2 per cell]
6 Cl 0.0000 0.0000 0.5000 [1 per cell]

Most intense lines, 2θ = 10–80°, sorted by position:
| h k l | 2θ (°) | I (rel.) |
| --- | --- | --- |
| 0 0 2 | 10.4 | 100 |
| 0 0 4 | 20.9 | 30 |
| 1 0 1 | 24.8 | 23 |
| 1 0 2 | 26.4 | 29 |
| 0 0 6 | 31.5 | 34 |
| 1 1 2 | 36.1 | 56 |
| 1 1 3 | 38.1 | 24 |
| 1 1 4 | 40.6 | 57 |
| 2 0 0 | 49.5 | 27 |
| 2 0 6 | 59.9 | 23 |



2.
# TbGd2In3Pt2Au
Calculated PXRD pattern, λ = 1.5418 Å (Cu Kα). Input: a cell relaxed with GGA-PBE.
Lines closer than 0.1° are merged.

Structure:
abc: 3.8481 13.5033 7.8031
angles: 90.00 90.00 90.00
Space group Amm2 (No. 38)
One atom of each set of equivalent atoms:
1 Tb 0.0000 0.0000 0.0000 [2 per cell]
2 Gd 0.0000 0.2042 0.6127 [4 per cell]
3 In 0.5000 0.0000 0.6765 [2 per cell]
4 In 0.5000 0.1338 0.2744 [4 per cell]
5 Pt 0.5000 0.1661 0.9087 [4 per cell]
6 Au 0.0000 0.0000 0.4082 [2 per cell]

Most intense lines, 2θ = 10–80°, sorted by position:
| h k l | 2θ (°) | I (rel.) |
| --- | --- | --- |
| 0 0 2 | 22.8 | 15 |
| 1 3 1 | 32.7 | 77 |
| 0 1 3 | 35.2 | 31 |
| 1 4 0 | 35.4 | 100 |
| 0 6 0 | 40.0 | 55 |
| 1 4 2 | 42.5 | 37 |
| 2 0 0 | 47.2 | 24 |
| 2 6 0 | 63.6 | 28 |
| 1 7 3 | 64.9 | 37 |
| 1 10 0 | 74.4 | 14 |